[1]
Starting from a structure optimized by DFT (GGA+U), the PXRD pattern of Fe15Ge8O36 was simulated for copper Kα.
Neutral-atom scattering factors, no anomalous dispersion.

```
data_Fe15Ge8O36
_chemical_formula_sum 'Fe15 Ge8 O36'
_symmetry_space_group_name_H-M 'P 1'
_symmetry_Int_Tables_number 1
_symmetry_space_group_name_Hall 'P 1'
_cell_length_a 7.9600
_cell_length_b 9.1302
_cell_length_c 10.6141
_cell_angle_alpha 65.61
_cell_angle_beta 81.30
_cell_angle_gamma 79.54
loop_
_atom_site_label
_atom_site_type_symbol
_atom_site_fract_x
_atom_site_fract_y
_atom_site_fract_z
_atom_site_occupancy
Fe1 Fe 0.0000 0.0000 0.0000 1
Fe2 Fe 0.0373 0.7605 0.8071 1
Fe3 Fe 0.1658 0.7263 0.4870 1
Fe4 Fe 0.1838 0.0512 0.4865 1
Fe5 Fe 0.1899 0.3887 0.4897 1
Fe6 Fe 0.2610 0.0902 0.7451 1
Fe7 Fe 0.3124 0.4398 0.9992 1
Fe8 Fe 0.3388 0.7788 0.0055 1
Fe9 Fe 0.6612 0.2212 0.9945 1
Fe10 Fe 0.6876 0.5602 0.0008 1
Fe11 Fe 0.7390 0.9098 0.2549 1
Fe12 Fe 0.8101 0.6113 0.5103 1
Fe13 Fe 0.8162 0.9488 0.5135 1
Fe14 Fe 0.8342 0.2737 0.5130 1
Fe15 Fe 0.9627 0.2395 0.1929 1
Ge1 Ge 0.0076 0.4079 0.8085 1
Ge2 Ge 0.3152 0.0238 0.1782 1
Ge3 Ge 0.4754 0.7501 0.6919 1
Ge4 Ge 0.4800 0.4098 0.6911 1
Ge5 Ge 0.5200 0.5902 0.3089 1
Ge6 Ge 0.5246 0.2499 0.3081 1
Ge7 Ge 0.6848 0.9762 0.8218 1
Ge8 Ge 0.9924 0.5921 0.1915 1
O1 O 0.0261 0.5072 0.6198 1
O2 O 0.0434 0.8587 0.6090 1
O3 O 0.0840 0.1883 0.5950 1
O4 O 0.1024 0.2029 0.8632 1
O5 O 0.1115 0.5311 0.8602 1
O6 O 0.1361 0.8873 0.8799 1
O7 O 0.1996 0.2245 0.1249 1
O8 O 0.2034 0.5854 0.1077 1
O9 O 0.2206 0.9179 0.1056 1
O10 O 0.2763 0.9365 0.3619 1
O11 O 0.3061 0.5858 0.3859 1
O12 O 0.3085 0.2546 0.3780 1
O13 O 0.3581 0.9452 0.6291 1
O14 O 0.3604 0.3058 0.6365 1
O15 O 0.3839 0.6221 0.6334 1
O16 O 0.4532 0.6569 0.8787 1
O17 O 0.4625 0.9705 0.8673 1
O18 O 0.4701 0.3297 0.8742 1
O19 O 0.5299 0.6703 0.1258 1
O20 O 0.5375 0.0295 0.1327 1
O21 O 0.5468 0.3431 0.1213 1
O22 O 0.6161 0.3779 0.3666 1
O23 O 0.6396 0.6942 0.3635 1
O24 O 0.6419 0.0548 0.3709 1
O25 O 0.6915 0.7454 0.6220 1
O26 O 0.6939 0.4142 0.6141 1
O27 O 0.7237 0.0635 0.6381 1
O28 O 0.7794 0.0821 0.8944 1
O29 O 0.7966 0.4146 0.8923 1
O30 O 0.8004 0.7755 0.8751 1
O31 O 0.8639 0.1127 0.1201 1
O32 O 0.8885 0.4689 0.1398 1
O33 O 0.8976 0.7971 0.1368 1
O34 O 0.9160 0.8117 0.4050 1
O35 O 0.9566 0.1413 0.3910 1
O36 O 0.9739 0.4928 0.3802 1
```

The 8 most intense peaks (5 to 70 degrees two-theta), by angle:
2θ = 29.16°, intensity 86
2θ = 30.70°, intensity 52
2θ = 31.06°, intensity 46
2θ = 34.62°, intensity 66
2θ = 34.74°, intensity 100
2θ = 34.97°, intensity 66
2θ = 60.89°, intensity 42
2θ = 61.11°, intensity 44


[2]
Starting from a structure optimized by DFT (GGA+U), the PXRD pattern of Sm2V2O5 was simulated for copper Kα.
Neutral-atom scattering factors, no anomalous dispersion.

```
data_Sm2V2O5
_chemical_formula_sum 'Sm4 V4 O10'
_symmetry_space_group_name_H-M 'P 1'
_symmetry_Int_Tables_number 1
_symmetry_space_group_name_Hall 'P 1'
_cell_length_a 8.7954
_cell_length_b 8.7954
_cell_length_c 8.7954
_cell_angle_alpha 53.92
_cell_angle_beta 141.42
_cell_angle_gamma 143.82
loop_
_atom_site_label
_atom_site_type_symbol
_atom_site_fract_x
_atom_site_fract_y
_atom_site_fract_z
_atom_site_occupancy
Sm1 Sm 0.0127 0.1103 0.1230 1
Sm2 Sm 0.0127 0.3897 0.4024 1
Sm3 Sm 0.9873 0.6103 0.5976 1
Sm4 Sm 0.9873 0.8897 0.8770 1
V1 V 0.4174 0.7194 0.1979 1
V2 V 0.5206 0.0206 0.5000 1
V3 V 0.5206 0.5206 0.0000 1
V4 V 0.5215 0.2194 0.8021 1
O1 O 0.0195 0.2888 0.7951 1
O2 O 0.0195 0.7244 0.2307 1
O3 O 0.1650 0.8228 0.8422 1
O4 O 0.4612 0.1902 0.5403 1
O5 O 0.4612 0.4209 0.7710 1
O6 O 0.4937 0.2244 0.2049 1
O7 O 0.4937 0.7888 0.7693 1
O8 O 0.6499 0.6902 0.2290 1
O9 O 0.6499 0.9209 0.4597 1
O10 O 0.9806 0.3228 0.1578 1
```

The 8 most intense peaks (5 to 70 degrees two-theta), by angle:
2θ = 22.34°, intensity 37
2θ = 22.69°, intensity 15
2θ = 30.77°, intensity 34
2θ = 32.05°, intensity 100
2θ = 32.79°, intensity 33
2θ = 45.58°, intensity 29
2θ = 55.52°, intensity 23
2θ = 58.07°, intensity 19